Record 1
Structure and calculated powder diffraction line list of Ba4PrYCu6O14 (a structure optimized by DFT (PBE); Cu Kα X-rays).
Neutral-atom scattering factors, no anomalous dispersion.

Cell and atoms:
```
data_Ba4PrYCu6O14
_chemical_formula_sum 'Ba4 Pr1 Y1 Cu6 O14'
_cell_length_a 3.885
_cell_length_b 7.883
_cell_length_c 11.875
_cell_angle_alpha 90.00
_cell_angle_beta 90.00
_cell_angle_gamma 90.00
_space_group_name_H-M_alt 'P 1'
_space_group_IT_number 1
loop_
_space_group_symop_operation_xyz
'x,y,z'
loop_
_atom_site_label
_atom_site_fract_x
_atom_site_fract_y
_atom_site_fract_z
Ba1 0.000 0.000 0.180
Ba2 0.000 0.000 0.820
Ba3 0.000 0.500 0.181
Ba4 0.000 0.500 0.819
Pr1 0.000 0.000 0.500
Y1 0.000 0.500 0.500
Cu1 0.500 0.250 0.000
Cu2 0.500 0.253 0.349
Cu3 0.500 0.253 0.651
Cu4 0.500 0.747 0.349
Cu5 0.500 0.747 0.651
Cu6 0.500 0.750 0.000
O1 0.000 0.258 0.375
O2 0.000 0.258 0.625
O3 0.000 0.742 0.375
O4 0.000 0.742 0.625
O5 0.500 0.000 0.000
O6 0.500 0.000 0.369
O7 0.500 0.000 0.631
O8 0.500 0.251 0.158
O9 0.500 0.251 0.842
O10 0.500 0.500 0.000
O11 0.500 0.500 0.380
O12 0.500 0.500 0.620
O13 0.500 0.749 0.158
O14 0.500 0.749 0.842
```

Main lines, sorted by position (10° ≤ 2θ ≤ 80°):
2theta, I (rel.)
32.0, 896
32.3, 1000
32.4, 921
39.7, 248
45.8, 197
46.1, 282
46.8, 270
57.2, 355
57.4, 376
57.8, 331

---

Record 2
Structure and calculated powder diffraction line list of BaMg (a structure optimized by DFT (PBE); Cu Kα X-rays).
Neutral-atom scattering factors, no anomalous dispersion.

Cell and atoms:
```
data_BaMg
_chemical_formula_sum 'Ba2 Mg2'
_cell_length_a 6.197
_cell_length_b 4.385
_cell_length_c 6.185
_cell_angle_alpha 90.00
_cell_angle_beta 90.00
_cell_angle_gamma 90.00
_space_group_name_H-M_alt 'P 1'
_space_group_IT_number 1
loop_
_space_group_symop_operation_xyz
'x,y,z'
loop_
_atom_site_label
_atom_site_fract_x
_atom_site_fract_y
_atom_site_fract_z
Ba1 0.250 0.000 0.244
Ba2 0.750 0.000 0.756
Mg1 0.250 0.500 0.742
Mg2 0.750 0.500 0.258
```

Main lines, sorted by position (10° ≤ 2θ ≤ 80°):
2theta, I (rel.)
20.3, 527
28.8, 1000
35.5, 172
41.2, 187
46.3, 201
51.1, 396
59.7, 103
63.7, 87
67.6, 142
71.4, 46

---

Record 3
Structure and calculated powder diffraction line list of TiZnO2 (a structure optimized by DFT (PBE); Cu Kα X-rays).
Neutral-atom scattering factors, no anomalous dispersion.

Cell and atoms:
```
data_TiZnO2
_chemical_formula_sum 'Ti4 Zn4 O8'
_cell_length_a 2.909
_cell_length_b 7.622
_cell_length_c 8.538
_cell_angle_alpha 82.23
_cell_angle_beta 81.45
_cell_angle_gamma 84.40
_space_group_name_H-M_alt 'P 1'
_space_group_IT_number 1
loop_
_space_group_symop_operation_xyz
'x,y,z'
loop_
_atom_site_label
_atom_site_fract_x
_atom_site_fract_y
_atom_site_fract_z
Ti1 0.029 0.303 0.074
Ti2 0.395 0.559 0.256
Ti3 0.605 0.441 0.744
Ti4 0.971 0.697 0.926
Zn1 0.032 0.930 0.223
Zn2 0.208 0.149 0.447
Zn3 0.792 0.851 0.553
Zn4 0.968 0.070 0.777
O1 0.075 0.624 0.701
O2 0.187 0.295 0.643
O3 0.393 0.753 0.079
O4 0.498 0.885 0.797
O5 0.502 0.115 0.203
O6 0.607 0.247 0.921
O7 0.813 0.705 0.357
O8 0.925 0.376 0.299
```

Main lines, sorted by position (10° ≤ 2θ ≤ 80°):
2theta, I (rel.)
11.8, 456
32.8, 918
33.9, 1000
34.4, 420
35.7, 350
36.1, 634
37.4, 420
42.1, 576
42.3, 333
47.0, 285

---

Record 4
Structure and calculated powder diffraction line list of CsH3AuN (a structure optimized by DFT (PBE); Cu Kα X-rays).
Neutral-atom scattering factors, no anomalous dispersion.

Cell and atoms:
```
data_CsH3AuN
_chemical_formula_sum 'Cs4 H12 Au4 N4'
_cell_length_a 5.231
_cell_length_b 5.231
_cell_length_c 18.477
_cell_angle_alpha 92.78
_cell_angle_beta 92.78
_cell_angle_gamma 86.62
_space_group_name_H-M_alt 'P 1'
_space_group_IT_number 1
loop_
_space_group_symop_operation_xyz
'x,y,z'
loop_
_atom_site_label
_atom_site_fract_x
_atom_site_fract_y
_atom_site_fract_z
Cs1 0.016 0.769 0.594
Cs2 0.231 0.984 0.906
Cs3 0.769 0.016 0.094
Cs4 0.984 0.231 0.406
H1 0.022 0.471 0.194
H2 0.117 0.340 0.745
H3 0.185 0.572 0.266
H4 0.340 0.117 0.245
H5 0.428 0.815 0.234
H6 0.471 0.022 0.694
H7 0.529 0.978 0.306
H8 0.572 0.185 0.766
H9 0.660 0.883 0.755
H10 0.815 0.428 0.734
H11 0.883 0.660 0.255
H12 0.978 0.529 0.806
Au1 0.265 0.508 0.049
Au2 0.492 0.735 0.451
Au3 0.508 0.265 0.549
Au4 0.735 0.492 0.951
N1 0.011 0.505 0.249
N2 0.495 0.989 0.251
N3 0.505 0.011 0.749
N4 0.989 0.495 0.751
```

Main lines, sorted by position (10° ≤ 2θ ≤ 80°):
2theta, I (rel.)
24.8, 285
25.3, 329
26.0, 636
26.4, 273
28.8, 1000
29.0, 497
29.5, 530
31.5, 302
34.5, 936
34.9, 894

---

Record 5
Structure and calculated powder diffraction line list of Ti5S8 (a structure optimized by DFT (PBE); Cu Kα X-rays).
Neutral-atom scattering factors, no anomalous dispersion.

Cell and atoms:
```
data_Ti5S8
_chemical_formula_sum 'Ti15 S24'
_cell_length_a 5.958
_cell_length_b 3.419
_cell_length_c 35.364
_cell_angle_alpha 90.00
_cell_angle_beta 90.39
_cell_angle_gamma 90.00
_space_group_name_H-M_alt 'P 1'
_space_group_IT_number 1
loop_
_space_group_symop_operation_xyz
'x,y,z'
loop_
_atom_site_label
_atom_site_fract_x
_atom_site_fract_y
_atom_site_fract_z
Ti1 0.000 0.000 0.000
Ti2 0.003 0.000 0.499
Ti3 0.013 0.000 0.588
Ti4 0.169 0.500 0.664
Ti5 0.192 0.500 0.333
Ti6 0.333 0.000 0.166
Ti7 0.336 0.000 0.832
Ti8 0.346 0.000 0.921
Ti9 0.502 0.500 0.998
Ti10 0.524 0.500 0.499
Ti11 0.667 0.000 0.667
Ti12 0.670 0.000 0.334
Ti13 0.680 0.000 0.245
Ti14 0.834 0.500 0.168
Ti15 0.857 0.500 0.832
S1 0.009 0.000 0.704
S2 0.014 0.000 0.371
S3 0.016 0.000 0.209
S4 0.017 0.000 0.875
S5 0.160 0.500 0.957
S6 0.167 0.500 0.126
S7 0.175 0.500 0.792
S8 0.178 0.500 0.543
S9 0.342 0.000 0.038
S10 0.343 0.000 0.461
S11 0.349 0.000 0.290
S12 0.349 0.000 0.623
S13 0.494 0.500 0.209
S14 0.506 0.500 0.706
S15 0.511 0.500 0.876
S16 0.512 0.500 0.374
S17 0.671 0.000 0.128
S18 0.676 0.000 0.795
S19 0.682 0.000 0.957
S20 0.684 0.000 0.542
S21 0.827 0.500 0.623
S22 0.839 0.500 0.039
S23 0.842 0.500 0.458
S24 0.844 0.500 0.290
```

Main lines, sorted by position (10° ≤ 2θ ≤ 80°):
2theta, I (rel.)
15.0, 1000
32.7, 263
33.8, 419
35.1, 313
36.4, 250
38.0, 299
38.1, 209
39.6, 353
53.4, 589
53.6, 330

---

Record 6
Structure and calculated powder diffraction line list of Mg2NiH4 (a structure optimized by DFT (PBE); Cu Kα X-rays).
Neutral-atom scattering factors, no anomalous dispersion.

Cell and atoms:
```
data_Mg2NiH4
_chemical_formula_sum 'Mg2 Ni1 H4'
_cell_length_a 4.515
_cell_length_b 4.515
_cell_length_c 4.515
_cell_angle_alpha 119.85
_cell_angle_beta 91.00
_cell_angle_gamma 118.99
_space_group_name_H-M_alt 'P 1'
_space_group_IT_number 1
loop_
_space_group_symop_operation_xyz
'x,y,z'
loop_
_atom_site_label
_atom_site_fract_x
_atom_site_fract_y
_atom_site_fract_z
Mg1 0.250 0.000 0.250
Mg2 0.750 0.000 0.750
Ni1 0.529 0.529 0.000
H1 0.207 0.439 0.768
H2 0.671 0.439 0.232
H3 0.748 0.009 0.261
H4 0.748 0.486 0.739
```

Main lines, sorted by position (10° ≤ 2θ ≤ 80°):
2theta, I (rel.)
24.0, 673
24.2, 635
39.3, 261
39.8, 264
39.9, 1000
46.7, 205
47.0, 199
57.2, 174
71.7, 154
72.4, 157

---

Record 7
Structure and calculated powder diffraction line list of Ca2P2H4O9 (a structure optimized by DFT (PBE); Cu Kα X-rays).
Neutral-atom scattering factors, no anomalous dispersion.

Cell and atoms:
```
data_Ca2P2H4O9
_chemical_formula_sum 'Ca4 P4 H8 O18'
_cell_length_a 6.747
_cell_length_b 7.407
_cell_length_c 8.341
_cell_angle_alpha 85.14
_cell_angle_beta 77.28
_cell_angle_gamma 73.01
_space_group_name_H-M_alt 'P 1'
_space_group_IT_number 1
loop_
_space_group_symop_operation_xyz
'x,y,z'
loop_
_atom_site_label
_atom_site_fract_x
_atom_site_fract_y
_atom_site_fract_z
Ca1 0.189 0.252 0.005
Ca2 0.243 0.633 0.255
Ca3 0.757 0.367 0.745
Ca4 0.811 0.748 0.995
P1 0.239 0.510 0.687
P2 0.333 0.788 0.856
P3 0.667 0.212 0.144
P4 0.761 0.490 0.313
H1 0.158 0.265 0.524
H2 0.172 0.038 0.349
H3 0.183 0.079 0.634
H4 0.402 0.978 0.238
H5 0.598 0.022 0.762
H6 0.817 0.921 0.366
H7 0.828 0.962 0.651
H8 0.842 0.735 0.476
O1 0.020 0.515 0.799
O2 0.092 0.161 0.563
O3 0.161 0.757 0.001
O4 0.246 0.481 0.508
O5 0.250 0.992 0.238
O6 0.277 0.717 0.695
O7 0.321 0.997 0.819
O8 0.407 0.364 0.764
O9 0.443 0.329 0.128
O10 0.557 0.671 0.872
O11 0.593 0.636 0.236
O12 0.679 0.003 0.181
O13 0.723 0.283 0.305
O14 0.750 0.008 0.762
O15 0.754 0.519 0.492
O16 0.839 0.243 0.999
O17 0.908 0.839 0.437
O18 0.980 0.485 0.201
```

Main lines, sorted by position (10° ≤ 2θ ≤ 80°):
2theta, I (rel.)
10.9, 898
12.5, 1000
25.5, 324
27.3, 814
28.3, 765
28.7, 488
29.7, 383
31.9, 442
33.2, 403
39.5, 385